This entry pairs a crystal structure of Sm8MgTi4O20 with its calculated PXRD pattern. Radiation: Cu Kα, 1.54184 Å. Structure: the PBE geometry in the Materials Project.
Intensities are scaled so that the largest is 100.

Atomic structure:
```
data_Sm8MgTi4O20
_chemical_formula_sum 'Sm8 Mg1 Ti4 O20'
_cell_length_a 7.889
_cell_length_b 3.741
_cell_length_c 15.987
_cell_angle_alpha 90.00
_cell_angle_beta 94.18
_cell_angle_gamma 90.00
_space_group_name_H-M_alt 'P 1 m 1'
_space_group_IT_number 6
_space_group_name_Hall 'P -2y'
loop_
_atom_site_label
_atom_site_type_symbol
_atom_site_fract_x
_atom_site_fract_y
_atom_site_fract_z
Sm1 Sm 0.000 0.000 0.000
Sm2 Sm 0.025 0.000 0.654
Sm3 Sm 0.233 0.500 0.173
Sm4 Sm 0.285 0.500 0.475
Sm5 Sm 0.485 0.000 0.986
Sm6 Sm 0.557 0.000 0.304
Sm7 Sm 0.733 0.500 0.836
Sm8 Sm 0.793 0.500 0.474
Mg1 Mg 0.336 0.500 0.666
Ti1 Ti 0.029 0.000 0.314
Ti2 Ti 0.214 0.500 0.859
Ti3 Ti 0.616 0.000 0.655
Ti4 Ti 0.749 0.500 0.156
O1 O 0.006 0.500 0.911
O2 O 0.008 0.500 0.282
O3 O 0.062 0.500 0.572
O4 O 0.160 0.500 0.744
O5 O 0.173 0.000 0.420
O6 O 0.225 0.000 0.895
O7 O 0.258 0.000 0.261
O8 O 0.264 0.000 0.078
O9 O 0.346 0.000 0.619
O10 O 0.454 0.500 0.891
O11 O 0.527 0.500 0.408
O12 O 0.540 0.500 0.223
O13 O 0.574 0.500 0.701
O14 O 0.610 0.500 0.061
O15 O 0.736 0.000 0.921
O16 O 0.769 0.000 0.569
O17 O 0.782 0.000 0.197
O18 O 0.810 0.000 0.742
O19 O 0.824 0.000 0.388
O20 O 0.960 0.500 0.095
```

Largest 12 diffraction maxima, by intensity, 2θ = 15–90°:
2θ 29.20, rel. 100, hkl 0 1 3; 2θ 27.20, rel. 31, hkl 2 0 -3; 2θ 33.05, rel. 29, hkl 2 1 0; 2θ 49.20, rel. 20, hkl 2 1 6; 2θ 56.68, rel. 15, hkl 2 2 -3; 2θ 33.74, rel. 15, hkl 0 0 6; 2θ 48.69, rel. 14, hkl 0 2 0; 2θ 46.65, rel. 12, hkl 2 1 -6; 2θ 46.13, rel. 10, hkl 4 0 0; 2θ 57.79, rel. 10, hkl 2 2 3; 2θ 60.55, rel. 8, hkl 4 0 6; 2θ 69.32, rel. 8, hkl 4 2 0